The following is a calculated powder diffraction line list of Na2TiRhO4. It was derived from a structure optimized by DFT (PBE), using a wavelength of 1.5418 Å.

The 6 most intense peaks (2θ = 10–90°), by angle:
d/Å, 2θ/deg, I_rel
5.416, 16.37, 100
2.709, 33.06, 31
2.555, 35.13, 35
2.255, 39.98, 88
2.203, 40.96, 40
1.617, 56.95, 25

Atomic structure:
Lattice parameters (Å, degrees): 5.2939 3.1356 5.6727 90.00 107.31 90.00
Space group P2/m (No. 10)
Asymmetric unit:
1 Na 0.0000 0.0000 0.0000 (multiplicity 1)
2 Na 0.5000 0.5000 0.0000 (multiplicity 1)
3 Ti 0.0000 0.5000 0.5000 (multiplicity 1)
4 Rh 0.5000 0.0000 0.5000 (multiplicity 1)
5 O 0.2220 0.0000 0.7019 (multiplicity 2)
6 O 0.2395 0.5000 0.2901 (multiplicity 2)